# 1
Diffraction record for NdZnRe. The XRD peak list is computed, not measured: it uses DFT lattice parameters and positions (PBE) and Cu Ka.

Cell and atoms:
```
data_NdZnRe
_chemical_formula_sum 'Nd4 Zn4 Re4'
_cell_length_a 7.437
_cell_length_b 4.288
_cell_length_c 9.320
_cell_angle_alpha 90.00
_cell_angle_beta 90.31
_cell_angle_gamma 90.00
_symmetry_space_group_name_H-M 'C 1 2/m 1'
_symmetry_Int_Tables_number 12
loop_
_symmetry_equiv_pos_as_xyz
'x,y,z'
'-x,-y,-z'
'-x,y,-z'
'x,-y,z'
'x+1/2,y+1/2,z'
'-x+1/2,-y+1/2,-z'
'-x+1/2,y+1/2,-z'
'x+1/2,-y+1/2,z'
loop_
_atom_site_label
_atom_site_type_symbol
_atom_site_fract_x
_atom_site_fract_y
_atom_site_fract_z
_atom_site_occupancy
Nd1 Nd 0.165 0.000 0.185 1
Zn1 Zn 0.001 0.500 0.638 1
Re1 Re 0.167 0.000 0.525 1
```

The 10 most intense peaks (5 to 70 degrees two-theta), sorted by position:
| 2θ (°) | I_rel | (hkl) |
| --- | --- | --- |
| 9.5 | 100 | 0 0 1 |
| 25.8 | 18 | 2 0 -1 |
| 28.7 | 16 | 0 0 3 |
| 30.7 | 19 | 1 1 -2 |
| 30.8 | 13 | 2 0 2 |
| 37.7 | 30 | 1 1 -3 |
| 37.8 | 17 | 2 0 3 |
| 42.1 | 48 | 3 1 0 |
| 43.3 | 16 | 3 1 -1 |
| 51.9 | 13 | 3 1 3 |

# 2
Diffraction record for Sm5S4Cl. The XRD peak list is computed, not measured: it uses DFT lattice parameters and positions (PBE) and Cu Ka.

Cell and atoms:
```
data_Sm5S4Cl
_chemical_formula_sum 'Sm10 S8 Cl2'
_cell_length_a 8.988
_cell_length_b 8.988
_cell_length_c 5.670
_cell_angle_alpha 90.00
_cell_angle_beta 90.00
_cell_angle_gamma 90.00
_symmetry_space_group_name_H-M 'I 4/m'
_symmetry_Int_Tables_number 87
_symmetry_space_group_name_Hall '-I 4'
loop_
_atom_site_label
_atom_site_type_symbol
_atom_site_fract_x
_atom_site_fract_y
_atom_site_fract_z
_atom_site_occupancy
Sm1 Sm 0.000 0.000 0.000 1
Sm2 Sm 0.103 0.317 0.500 1
S1 S 0.107 0.297 0.000 1
Cl1 Cl 0.000 0.000 0.500 1
```

The 10 most intense peaks (5 to 70 degrees two-theta), sorted by position:
| 2θ (°) | I_rel | (hkl) |
| --- | --- | --- |
| 27.2 | 75 | 2 1 1 |
| 31.5 | 100 | 0 0 2 |
| 39.5 | 3 | 3 2 1 |
| 45.2 | 71 | 1 3 2 |
| 53.5 | 22 | 5 0 1 |
| 53.6 | 12 | 2 1 3 |
| 56.1 | 24 | 4 2 2 |
| 57.6 | 2 | 5 2 1 |
| 65.7 | 7 | 2 6 0 |
| 65.9 | 4 | 0 0 4 |

# 3
Diffraction record for Nd3SmP4. The XRD peak list is computed, not measured: it uses DFT lattice parameters and positions (PBE) and Cu Ka.

Cell and atoms:
```
data_Nd3SmP4
_chemical_formula_sum 'Nd3 Sm1 P4'
_cell_length_a 5.871
_cell_length_b 5.871
_cell_length_c 5.871
_cell_angle_alpha 90.00
_cell_angle_beta 90.00
_cell_angle_gamma 90.00
_symmetry_space_group_name_H-M 'P m -3 m'
_symmetry_Int_Tables_number 221
_symmetry_space_group_name_Hall '-P 4 2 3'
loop_
_atom_site_label
_atom_site_type_symbol
_atom_site_fract_x
_atom_site_fract_y
_atom_site_fract_z
_atom_site_occupancy
Nd1 Nd 0.000 0.000 0.500 1
Sm1 Sm 0.500 0.500 0.500 1
P1 P 0.000 0.000 0.000 1
P2 P 0.000 0.500 0.500 1
```

The 7 most intense peaks (5 to 70 degrees two-theta), sorted by position:
| 2θ (°) | I_rel | (hkl) |
| --- | --- | --- |
| 26.3 | 80 | 1 1 1 |
| 30.4 | 100 | 2 0 0 |
| 43.6 | 73 | 2 2 0 |
| 51.6 | 40 | 3 1 1 |
| 54.1 | 26 | 2 2 2 |
| 63.4 | 12 | 4 0 0 |
| 69.8 | 16 | 3 3 1 |

# 4
Diffraction record for Ca2TaCdO6. The XRD peak list is computed, not measured: it uses DFT lattice parameters and positions (PBE) and Cu Ka.

Cell and atoms:
```
data_Ca2TaCdO6
_chemical_formula_sum 'Ca6 Ta3 Cd3 O18'
_cell_length_a 5.6997
_cell_length_b 5.6997
_cell_length_c 14.8498
_cell_angle_alpha 90.00
_cell_angle_beta 90.00
_cell_angle_gamma 120.00
_symmetry_space_group_name_H-M 'R 3'
_symmetry_Int_Tables_number 146
_symmetry_space_group_name_Hall 'R 3'
loop_
_atom_site_label
_atom_site_type_symbol
_atom_site_fract_x
_atom_site_fract_y
_atom_site_fract_z
_atom_site_occupancy
Ca1 Ca 0.0000 0.0000 0.0000 1
Ca2 Ca 0.0000 0.0000 0.4960 1
Ta1 Ta 0.0000 0.0000 0.7801 1
Cd1 Cd 0.0000 0.0000 0.2771 1
O1 O 0.0303 0.7460 0.8751 1
O2 O 0.0623 0.3432 0.3854 1
```

The 10 most intense peaks (5 to 70 degrees two-theta), sorted by position:
| 2θ (°) | I_rel | (hkl) |
| --- | --- | --- |
| 21.6 | 100 | 0 1 2 |
| 30.1 | 92 | 1 0 4 |
| 31.4 | 80 | 1 1 0 |
| 36.3 | 14 | 0 0 6 |
| 44.1 | 43 | 0 2 4 |
| 48.7 | 39 | 1 1 6 |
| 50.4 | 19 | 1 2 2 |
| 52.7 | 15 | 0 1 8 |
| 55.1 | 37 | 2 1 4 |
| 55.9 | 24 | 3 0 0 |

# 5
Diffraction record for SrCa4Cd4. The XRD peak list is computed, not measured: it uses DFT lattice parameters and positions (PBE) and Cu Ka.

Cell and atoms:
```
data_SrCa4Cd4
_chemical_formula_sum 'Sr2 Ca8 Cd8'
_cell_length_a 10.244
_cell_length_b 10.244
_cell_length_c 6.359
_cell_angle_alpha 90.00
_cell_angle_beta 90.00
_cell_angle_gamma 90.00
_symmetry_space_group_name_H-M 'P 42/n'
_symmetry_Int_Tables_number 86
loop_
_symmetry_equiv_pos_as_xyz
'x,y,z'
'-x,-y,-z'
'-y,x+1/2,z+1/2'
'y,-x+1/2,-z+1/2'
'-x+1/2,-y+1/2,z'
'x+1/2,y+1/2,-z'
'y+1/2,-x,z+1/2'
'-y+1/2,x,-z+1/2'
loop_
_atom_site_label
_atom_site_type_symbol
_atom_site_fract_x
_atom_site_fract_y
_atom_site_fract_z
_atom_site_occupancy
Sr1 Sr 0.250 0.250 0.250 1
Ca1 Ca 0.090 0.650 0.139 1
Cd1 Cd 0.038 0.606 0.639 1
```

The 10 most intense peaks (5 to 70 degrees two-theta), sorted by position:
| 2θ (°) | I_rel | (hkl) |
| --- | --- | --- |
| 16.4 | 35 | 1 0 1 |
| 18.6 | 40 | 1 1 1 |
| 23.9 | 33 | 1 2 1 |
| 27.5 | 100 | 1 3 0 |
| 29.4 | 43 | 1 0 2 |
| 34.3 | 28 | 1 2 2 |
| 34.6 | 33 | 2 3 1 |
| 38.7 | 46 | 3 0 2 |
| 38.9 | 32 | 4 1 1 |
| 42.7 | 37 | 3 2 2 |

# 6
Diffraction record for CaTb3Co. The XRD peak list is computed, not measured: it uses DFT lattice parameters and positions (PBE) and Cu Ka.

Cell and atoms:
```
data_CaTb3Co
_chemical_formula_sum 'Ca4 Tb12 Co4'
_cell_length_a 14.174
_cell_length_b 3.683
_cell_length_c 11.349
_cell_angle_alpha 90.00
_cell_angle_beta 94.26
_cell_angle_gamma 90.00
_symmetry_space_group_name_H-M 'C 1 2/m 1'
_symmetry_Int_Tables_number 12
loop_
_symmetry_equiv_pos_as_xyz
'x,y,z'
'-x,-y,-z'
'-x,y,-z'
'x,-y,z'
'x+1/2,y+1/2,z'
'-x+1/2,-y+1/2,-z'
'-x+1/2,y+1/2,-z'
'x+1/2,-y+1/2,z'
loop_
_atom_site_label
_atom_site_type_symbol
_atom_site_fract_x
_atom_site_fract_y
_atom_site_fract_z
_atom_site_occupancy
Ca1 Ca 0.159 0.000 0.094 1
Tb1 Tb 0.065 0.000 0.387 1
Tb2 Tb 0.069 0.500 0.822 1
Tb3 Tb 0.216 0.000 0.640 1
Co1 Co 0.081 0.500 0.581 1
```

The 10 most intense peaks (5 to 70 degrees two-theta), sorted by position:
| 2θ (°) | I_rel | (hkl) |
| --- | --- | --- |
| 7.8 | 100 | 0 0 1 |
| 28.8 | 31 | 4 0 -2 |
| 29.4 | 19 | 1 1 -2 |
| 30.8 | 24 | 4 0 2 |
| 31.5 | 33 | 3 1 -1 |
| 31.6 | 23 | 0 0 4 |
| 32.2 | 44 | 3 1 1 |
| 34.3 | 18 | 1 1 -3 |
| 38.2 | 17 | 6 0 0 |
| 51.7 | 16 | 8 0 0 |

# 7
Diffraction record for TbPrHo2In4. The XRD peak list is computed, not measured: it uses DFT lattice parameters and positions (PBE) and Cu Ka.

Cell and atoms:
```
data_TbPrHo2In4
_chemical_formula_sum 'Tb3 Pr3 Ho6 In12'
_cell_length_a 5.3588
_cell_length_b 5.3588
_cell_length_c 26.3314
_cell_angle_alpha 90.00
_cell_angle_beta 90.00
_cell_angle_gamma 120.00
_symmetry_space_group_name_H-M 'R -3 m'
_symmetry_Int_Tables_number 166
_symmetry_space_group_name_Hall '-R 3 2"'
loop_
_atom_site_label
_atom_site_type_symbol
_atom_site_fract_x
_atom_site_fract_y
_atom_site_fract_z
_atom_site_occupancy
Tb1 Tb 0.0000 0.0000 0.0000 1
Pr1 Pr 0.0000 0.0000 0.5000 1
Ho1 Ho 0.0000 0.0000 0.2503 1
In1 In 0.0000 0.0000 0.1234 1
In2 In 0.0000 0.0000 0.3736 1
```

The 7 most intense peaks (5 to 70 degrees two-theta), sorted by position:
| 2θ (°) | I_rel | (hkl) |
| --- | --- | --- |
| 23.5 | 2 | 1 0 4 |
| 33.4 | 100 | 1 1 0 |
| 41.3 | 1 | 0 2 4 |
| 48.0 | 18 | 2 0 8 |
| 54.1 | 1 | 1 1 12 |
| 59.6 | 9 | 1 0 16 |
| 59.8 | 28 | 3 0 0 |

# 8
Diffraction record for Dy2ErTmTe6. The XRD peak list is computed, not measured: it uses DFT lattice parameters and positions (PBE) and Cu Ka.

Cell and atoms:
```
data_Dy2ErTmTe6
_chemical_formula_sum 'Dy6 Er3 Tm3 Te18'
_cell_length_a 7.6508
_cell_length_b 7.6508
_cell_length_c 20.9697
_cell_angle_alpha 90.00
_cell_angle_beta 90.00
_cell_angle_gamma 120.00
_symmetry_space_group_name_H-M 'R 3'
_symmetry_Int_Tables_number 146
_symmetry_space_group_name_Hall 'R 3'
loop_
_atom_site_label
_atom_site_type_symbol
_atom_site_fract_x
_atom_site_fract_y
_atom_site_fract_z
_atom_site_occupancy
Dy1 Dy 0.0000 0.0000 0.0000 1
Dy2 Dy 0.0000 0.0000 0.4998 1
Er1 Er 0.0000 0.0000 0.1853 1
Tm1 Tm 0.0000 0.0000 0.6850 1
Te1 Te 0.0213 0.3490 0.7601 1
Te2 Te 0.0217 0.6710 0.2603 1
```

The 10 most intense peaks (5 to 70 degrees two-theta), sorted by position:
| 2θ (°) | I_rel | (hkl) |
| --- | --- | --- |
| 15.8 | 35 | 0 1 2 |
| 21.6 | 27 | 1 0 4 |
| 26.6 | 85 | 2 -1 3 |
| 32.0 | 19 | 0 2 4 |
| 34.8 | 100 | 2 -1 6 |
| 39.9 | 17 | 3 -1 4 |
| 40.9 | 62 | 3 0 0 |
| 45.6 | 19 | 1 1 9 |
| 54.7 | 27 | 2 2 6 |
| 68.5 | 21 | 3 0 12 |

> Number 3 is which compound?

Nd3SmP4